Structure and calculated PXRD pattern of Mn2SbPCl (a crystal structure in Alexandria, relaxed with PBE; Cu Kα, 1.54184 Å).

Atomic structure:
a = 5.267 Å, b = 5.267 Å, c = 5.009 Å
α = 90.00°, β = 90.00°, γ = 90.00°
Space group P4/mmm (No. 123)
Asymmetric unit:
Mn 0.000 0.500 0.000 x2
Sb 0.000 0.000 0.000 x1
P 0.000 0.000 0.500 x1
Cl 0.500 0.500 0.500 x1

Most intense lines, 10° ≤ 2θ ≤ 90°, by angle:
16.83 deg, I 85
17.71 deg, I 76
24.53 deg, I 83
34.04 deg, I 100
35.86 deg, I 43
38.63 deg, I 44
42.41 deg, I 38
48.91 deg, I 34
50.28 deg, I 62
62.12 deg, I 31